No. 1
Calculated X-ray powder pattern of SrCaYBiO6 for λ = 1.5418 Å (Cu Kα), from a crystal structure in the Materials Project, relaxed with PBE.
No peak broadening, texture or thermal motion is included.

The 6 most intense peaks (15° ≤ 2θ ≤ 90°), most intense first:
d/Å  Rel. int.
2.975  100
4.207  41
2.104  38
3.019  24
2.932  23
1.734  19

Structural model:
```
data_SrCaYBiO6
_cell_length_a 5.864
_cell_length_b 6.038
_cell_length_c 8.418
_cell_angle_alpha 89.97
_cell_angle_beta 89.81
_cell_angle_gamma 89.96
_space_group_name_H-M_alt 'P -1'
_space_group_IT_number 2
loop_
_space_group_symop_operation_xyz
'x,y,z'
'-x,-y,-z'
loop_
_atom_site_label
_atom_site_fract_x
_atom_site_fract_y
_atom_site_fract_z
Sr1 0.011 0.050 0.250
Ca1 0.486 0.549 0.249
Y1 0.000 0.500 0.000
Y2 0.500 0.000 0.500
Bi1 0.000 0.500 0.500
Bi2 0.500 0.000 0.000
O1 0.119 0.534 0.742
O2 0.190 0.792 0.446
O3 0.206 0.804 0.050
O4 0.295 0.308 0.436
O5 0.314 0.296 0.063
O6 0.402 0.058 0.758
```

=====

No. 2
Calculated X-ray powder pattern of Ca2YBiO6 for λ = 1.5418 Å (Cu Kα), from a crystal structure in the Materials Project, relaxed with PBE.
No peak broadening, texture or thermal motion is included.

The 6 most intense peaks (15° ≤ 2θ ≤ 90°), most intense first:
d/Å  Rel. int.
2.965  100
4.194  51
1.712  49
2.097  28
1.875  25
4.842  24

Structural model:
```
data_Ca2YBiO6
_cell_length_a 8.387
_cell_length_b 8.387
_cell_length_c 8.387
_cell_angle_alpha 90.00
_cell_angle_beta 90.00
_cell_angle_gamma 90.00
_space_group_name_H-M_alt 'P n -3'
_space_group_IT_number 201
loop_
_space_group_symop_operation_xyz
'x,y,z'
'-x,-y,-z'
'-x+1/2,-y+1/2,z'
'x+1/2,y+1/2,-z'
'x,-y+1/2,-z+1/2'
'-x,y+1/2,z+1/2'
'-x+1/2,y,-z+1/2'
'x+1/2,-y,z+1/2'
'z,x,y'
'-z,-x,-y'
'z,-x+1/2,-y+1/2'
'-z,x+1/2,y+1/2'
'-z+1/2,x,-y+1/2'
'z+1/2,-x,y+1/2'
'-z+1/2,-x+1/2,y'
'z+1/2,x+1/2,-y'
'y,z,x'
'-y,-z,-x'
'-y+1/2,z,-x+1/2'
'y+1/2,-z,x+1/2'
'-y+1/2,-z+1/2,x'
'y+1/2,z+1/2,-x'
'y,-z+1/2,-x+1/2'
'-y,z+1/2,x+1/2'
loop_
_atom_site_label
_atom_site_fract_x
_atom_site_fract_y
_atom_site_fract_z
Ca1 0.250 0.250 0.250
Ca2 0.250 0.250 0.750
Y1 0.000 0.000 0.000
Bi1 0.000 0.000 0.500
O1 0.046 0.561 0.757
```

=====

No. 3
Calculated X-ray powder pattern of Ca2YBiO5 for λ = 1.5418 Å (Cu Kα), from a crystal structure in the Materials Project, relaxed with PBE.
No peak broadening, texture or thermal motion is included.

The 6 most intense peaks (15° ≤ 2θ ≤ 90°), most intense first:
d/Å  Rel. int.
2.913  100
2.889  96
4.298  93
3.049  49
3.029  49
2.149  48

Structural model:
```
data_Ca2YBiO5
_cell_length_a 16.804
_cell_length_b 6.057
_cell_length_c 6.099
_cell_angle_alpha 90.00
_cell_angle_beta 110.61
_cell_angle_gamma 90.00
_space_group_name_H-M_alt 'C 1 c 1'
_space_group_IT_number 9
loop_
_space_group_symop_operation_xyz
'x,y,z'
'x,-y,z+1/2'
'x+1/2,y+1/2,z'
'x+1/2,-y+1/2,z+1/2'
loop_
_atom_site_label
_atom_site_fract_x
_atom_site_fract_y
_atom_site_fract_z
Ca1 0.000 0.247 0.000
Ca2 0.246 0.253 0.246
Y1 0.375 0.268 0.853
Bi1 0.122 0.250 0.665
O1 0.061 0.047 0.350
O2 0.180 0.461 0.471
O3 0.269 0.099 0.911
O4 0.371 0.395 0.493
O5 0.479 0.098 0.120
```

=====

No. 4
Calculated X-ray powder pattern of CaY4Bi4O12 for λ = 1.5418 Å (Cu Kα), from a crystal structure in the Materials Project, relaxed with PBE.
No peak broadening, texture or thermal motion is included.

The 6 most intense peaks (15° ≤ 2θ ≤ 90°), most intense first:
d/Å  Rel. int.
3.070  100
2.957  47
2.888  35
4.662  32
4.300  31
2.718  30

Structural model:
```
data_CaY4Bi4O12
_cell_length_a 5.915
_cell_length_b 6.291
_cell_length_c 9.360
_cell_angle_alpha 84.94
_cell_angle_beta 89.85
_cell_angle_gamma 89.73
_space_group_name_H-M_alt 'P 1'
_space_group_IT_number 1
loop_
_space_group_symop_operation_xyz
'x,y,z'
loop_
_atom_site_label
_atom_site_fract_x
_atom_site_fract_y
_atom_site_fract_z
Ca1 0.000 0.000 0.000
Y1 0.033 0.703 0.736
Y2 0.102 0.769 0.347
Y3 0.514 0.251 0.837
Y4 0.566 0.173 0.264
Bi1 0.045 0.235 0.538
Bi2 0.056 0.430 0.099
Bi3 0.541 0.796 0.635
Bi4 0.555 0.708 0.081
O1 0.214 0.573 0.550
O2 0.242 0.004 0.780
O3 0.267 0.507 0.876
O4 0.312 0.942 0.149
O5 0.314 0.049 0.437
O6 0.371 0.502 0.245
O7 0.691 0.272 0.037
O8 0.729 0.486 0.707
O9 0.737 0.927 0.821
O10 0.791 0.886 0.214
O11 0.865 0.896 0.522
O12 0.883 0.365 0.337
```

=====

No. 5
Calculated X-ray powder pattern of Ca2YBiO6 for λ = 1.5418 Å (Cu Kα), from a crystal structure in the Materials Project, relaxed with PBE.
No peak broadening, texture or thermal motion is included.

The 6 most intense peaks (15° ≤ 2θ ≤ 90°), most intense first:
d/Å  Rel. int.
2.979  100
2.938  65
4.155  54
1.704  51
4.842  40
4.273  34

Structural model:
```
data_Ca2YBiO6
_cell_length_a 5.877
_cell_length_b 5.877
_cell_length_c 8.545
_cell_angle_alpha 90.00
_cell_angle_beta 90.00
_cell_angle_gamma 90.00
_space_group_name_H-M_alt 'P 4/m n c'
_space_group_IT_number 128
_space_group_name_Hall '-P 4 2n'
loop_
_atom_site_label
_atom_site_fract_x
_atom_site_fract_y
_atom_site_fract_z
Ca1 0.000 0.500 0.250
Y1 0.000 0.000 0.000
Bi1 0.000 0.000 0.500
O1 0.000 0.000 0.255
O2 0.157 0.327 0.500
```

=====

No. 6
Calculated X-ray powder pattern of CaY4Bi4O12 for λ = 1.5418 Å (Cu Kα), from a crystal structure in the Materials Project, relaxed with PBE.
No peak broadening, texture or thermal motion is included.

The 6 most intense peaks (15° ≤ 2θ ≤ 90°), most intense first:
d/Å  Rel. int.
3.026  100
3.077  96
3.169  75
3.382  65
4.716  36
4.539  34

Structural model:
```
data_CaY4Bi4O12
_cell_length_a 6.343
_cell_length_b 8.119
_cell_length_c 6.768
_cell_angle_alpha 90.00
_cell_angle_beta 92.20
_cell_angle_gamma 90.00
_space_group_name_H-M_alt 'P 1 m 1'
_space_group_IT_number 6
loop_
_space_group_symop_operation_xyz
'x,y,z'
'x,-y,z'
loop_
_atom_site_label
_atom_site_fract_x
_atom_site_fract_y
_atom_site_fract_z
Ca1 0.000 0.000 0.000
Y1 0.033 0.000 0.431
Y2 0.076 0.500 0.280
Y3 0.527 0.000 0.764
Y4 0.587 0.500 0.852
Bi1 0.114 0.319 0.771
Bi2 0.542 0.240 0.280
O1 0.180 0.000 0.715
O2 0.214 0.169 0.215
O3 0.390 0.500 0.114
O4 0.445 0.288 0.673
O5 0.665 0.000 0.453
O6 0.685 0.168 0.004
O7 0.891 0.500 0.014
O8 0.949 0.298 0.482
```

=====

No. 7
Calculated X-ray powder pattern of CaY4Bi4O12 for λ = 1.5418 Å (Cu Kα), from a crystal structure in the Materials Project, relaxed with PBE.
No peak broadening, texture or thermal motion is included.

The 6 most intense peaks (15° ≤ 2θ ≤ 90°), most intense first:
d/Å  Rel. int.
3.031  100
3.172  61
4.850  51
3.273  50
3.236  40
2.568  36

Structural model:
```
data_CaY4Bi4O12
_cell_length_a 6.504
_cell_length_b 8.386
_cell_length_c 6.579
_cell_angle_alpha 90.00
_cell_angle_beta 95.71
_cell_angle_gamma 90.00
_space_group_name_H-M_alt 'P 1 m 1'
_space_group_IT_number 6
loop_
_space_group_symop_operation_xyz
'x,y,z'
'x,-y,z'
loop_
_atom_site_label
_atom_site_fract_x
_atom_site_fract_y
_atom_site_fract_z
Ca1 0.000 0.000 0.000
Y1 0.457 0.000 0.773
Y2 0.550 0.500 0.726
Y3 0.858 0.000 0.434
Y4 0.933 0.500 0.249
Bi1 0.070 0.320 0.719
Bi2 0.481 0.243 0.248
O1 0.130 0.000 0.678
O2 0.135 0.306 0.398
O3 0.349 0.000 0.122
O4 0.390 0.289 0.857
O5 0.625 0.160 0.557
O6 0.662 0.500 0.414
O7 0.786 0.167 0.157
O8 0.828 0.500 0.924
```

=====

No. 8
Calculated X-ray powder pattern of Ca2YBiO6 for λ = 1.5418 Å (Cu Kα), from a crystal structure in the Materials Project, relaxed with PBE.
No peak broadening, texture or thermal motion is included.

The 6 most intense peaks (15° ≤ 2θ ≤ 90°), most intense first:
d/Å  Rel. int.
3.016  100
4.266  59
1.742  41
2.133  35
1.908  27
4.926  24

Structural model:
```
data_Ca2YBiO6
_cell_length_a 8.532
_cell_length_b 8.532
_cell_length_c 8.532
_cell_angle_alpha 90.00
_cell_angle_beta 90.00
_cell_angle_gamma 90.00
_space_group_name_H-M_alt 'F m -3 m'
_space_group_IT_number 225
_space_group_name_Hall '-F 4 2 3'
loop_
_atom_site_label
_atom_site_fract_x
_atom_site_fract_y
_atom_site_fract_z
Ca1 0.250 0.250 0.250
Y1 0.000 0.000 0.000
Bi1 0.000 0.000 0.500
O1 0.000 0.000 0.256
```

=====

No. 9
Calculated X-ray powder pattern of Ca3BiP for λ = 1.5418 Å (Cu Kα), from a crystal structure in the Materials Project, relaxed with PBE.
No peak broadening, texture or thermal motion is included.

The 6 most intense peaks (15° ≤ 2θ ≤ 90°), most intense first:
d/Å  Rel. int.
3.837  100
3.133  98
2.713  73
1.918  52
2.215  48
5.426  46

Structural model:
```
data_Ca3BiP
_cell_length_a 5.426
_cell_length_b 5.426
_cell_length_c 5.426
_cell_angle_alpha 90.00
_cell_angle_beta 90.00
_cell_angle_gamma 90.00
_space_group_name_H-M_alt 'P m -3 m'
_space_group_IT_number 221
_space_group_name_Hall '-P 4 2 3'
loop_
_atom_site_label
_atom_site_fract_x
_atom_site_fract_y
_atom_site_fract_z
Ca1 0.000 0.000 0.500
Bi1 0.500 0.500 0.500
P1 0.000 0.000 0.000
```

=====

No. 10
Calculated X-ray powder pattern of Ca3BiP for λ = 1.5418 Å (Cu Kα), from a crystal structure in the Materials Project, relaxed with PBE.
No peak broadening, texture or thermal motion is included.

The 6 most intense peaks (15° ≤ 2θ ≤ 90°), most intense first:
d/Å  Rel. int.
5.820  100
4.115  73
2.603  58
2.910  55
2.058  40
2.376  36

Structural model:
```
data_Ca3BiP
_cell_length_a 5.820
_cell_length_b 5.820
_cell_length_c 5.820
_cell_angle_alpha 90.00
_cell_angle_beta 90.00
_cell_angle_gamma 90.00
_space_group_name_H-M_alt 'P m -3 m'
_space_group_IT_number 221
_space_group_name_Hall '-P 4 2 3'
loop_
_atom_site_label
_atom_site_fract_x
_atom_site_fract_y
_atom_site_fract_z
Ca1 0.000 0.000 0.500
Bi1 0.000 0.000 0.000
P1 0.500 0.500 0.500
```

=====

No. 11
Calculated X-ray powder pattern of CaReBi for λ = 1.5418 Å (Cu Kα), from a crystal structure in the Materials Project, relaxed with PBE.
No peak broadening, texture or thermal motion is included.

The 6 most intense peaks (15° ≤ 2θ ≤ 90°), most intense first:
d/Å  Rel. int.
2.389  100
3.901  76
2.037  41
1.379  36
1.550  18
1.689  18

Structural model:
```
data_CaReBi
_cell_length_a 6.757
_cell_length_b 6.757
_cell_length_c 6.757
_cell_angle_alpha 90.00
_cell_angle_beta 90.00
_cell_angle_gamma 90.00
_space_group_name_H-M_alt 'F -4 3 m'
_space_group_IT_number 216
_space_group_name_Hall 'F -4 2 3'
loop_
_atom_site_label
_atom_site_fract_x
_atom_site_fract_y
_atom_site_fract_z
Ca1 0.000 0.000 0.000
Re1 0.250 0.250 0.250
Bi1 0.000 0.000 0.500
```

=====

No. 12
Calculated X-ray powder pattern of Ca3BiSb for λ = 1.5418 Å (Cu Kα), from a crystal structure in the Materials Project, relaxed with PBE.
No peak broadening, texture or thermal motion is included.

The 6 most intense peaks (15° ≤ 2θ ≤ 90°), most intense first:
d/Å  Rel. int.
4.144  100
2.930  55
2.392  49
2.072  40
1.566  27
1.853  23

Structural model:
```
data_Ca3BiSb
_cell_length_a 5.860
_cell_length_b 5.860
_cell_length_c 5.860
_cell_angle_alpha 90.00
_cell_angle_beta 90.00
_cell_angle_gamma 90.00
_space_group_name_H-M_alt 'P m -3 m'
_space_group_IT_number 221
_space_group_name_Hall '-P 4 2 3'
loop_
_atom_site_label
_atom_site_fract_x
_atom_site_fract_y
_atom_site_fract_z
Ca1 0.000 0.000 0.500
Bi1 0.000 0.000 0.000
Sb1 0.500 0.500 0.500
```

=====

Copy entry 12 word for word.
Calculated X-ray powder pattern of Ca3BiSb for λ = 1.5418 Å (Cu Kα), from a crystal structure in the Materials Project, relaxed with PBE.
No peak broadening, texture or thermal motion is included.

The 6 most intense peaks (15° ≤ 2θ ≤ 90°), most intense first:
d/Å  Rel. int.
4.144  100
2.930  55
2.392  49
2.072  40
1.566  27
1.853  23

Structural model:
```
data_Ca3BiSb
_cell_length_a 5.860
_cell_length_b 5.860
_cell_length_c 5.860
_cell_angle_alpha 90.00
_cell_angle_beta 90.00
_cell_angle_gamma 90.00
_space_group_name_H-M_alt 'P m -3 m'
_space_group_IT_number 221
_space_group_name_Hall '-P 4 2 3'
loop_
_atom_site_label
_atom_site_fract_x
_atom_site_fract_y
_atom_site_fract_z
Ca1 0.000 0.000 0.500
Bi1 0.000 0.000 0.000
Sb1 0.500 0.500 0.500
```